ErTm3Cu: simulated PXRD pattern (Cu Kα, 1.54184 Å), based on a PBE-relaxed structure.
Intensities are scaled so that the largest is 100.

Cell and atoms:
a = 5.291 Å, b = 5.291 Å, c = 5.291 Å
α = 90.00°, β = 90.00°, γ = 90.00°
Element x y z (fractional)
Er (0.000, 0.000, 0.000)
Tm (0.000, 0.500, 0.500)
Tm (0.500, 0.000, 0.500)
Tm (0.500, 0.500, 0.000)
Cu (0.500, 0.500, 0.500)

Main lines, in order of rising 2θ (10° ≤ 2θ ≤ 90°):
two_theta  I/Imax
29.2  100.0
33.9  77.6
48.7  56.2
57.8  45.2
60.6  19.4
81.3  25.2

***

ErTmCu: simulated PXRD pattern (Cu Kα, 1.54184 Å), based on a PBE-relaxed structure.
Intensities are scaled so that the largest is 100.

Cell and atoms:
a = 6.771 Å, b = 6.771 Å, c = 5.512 Å
α = 97.46°, β = 97.46°, γ = 36.10°
Element x y z (fractional)
Er (0.082, 0.082, 0.276)
Er (0.918, 0.918, 0.724)
Tm (0.354, 0.354, 0.189)
Tm (0.646, 0.646, 0.811)
Cu (0.264, 0.264, 0.642)
Cu (0.736, 0.736, 0.358)

Main lines, in order of rising 2θ (10° ≤ 2θ ≤ 90°):
two_theta  I/Imax
28.3  43.3
29.9  27.4
32.8  100.0
34.5  24.6
35.6  28.7
43.1  26.2